For LiNi3OF5, a DFT-relaxed cell (GGA+U, the Materials Project) gives the computed X-ray powder pattern in this record (Cu Kα (λ = 1.5418 Å)).
Neutral-atom scattering factors, no anomalous dispersion.

Main lines, in order of falling intensity (2θ from 5° to 70°):
h k l  two_theta  d [Å]  Rel. int.
1 -2 1  34.9  2.569  100.0
0 1 0  23.3  3.817  76.4
0 1 -2  32.8  2.727  76.2
1 -1 0  20.9  4.259  73.4
-1 1 1  32.2  2.779  71.5
1 0 1  32.4  2.762  67.0
2 -1 2  53.3  1.719  62.0
1 -1 1  24.0  3.713  58.9
0 0 1  19.0  4.672  56.5
1 1 -1  34.6  2.590  54.7

```
10
Lattice="5.134 0.000 0.000 -2.530 4.480 0.000 -0.074 -2.869 4.672" Properties=species:S:1:pos:R:3 pbc="T T T"
Li 0.000 0.000 0.000
Ni -0.193 0.110 4.089
Ni -0.132 2.865 2.282
Ni 2.543 1.412 1.925
O -1.149 1.523 3.219
F -1.686 2.912 0.853
F 0.742 1.599 0.895
F 1.604 0.060 3.169
F 3.244 -0.193 0.877
F 4.175 -1.585 3.228
```